# 1
This entry pairs a crystal structure of Nb9Co4Ge with its calculated powder diffractogram. Radiation: λ = 1.5418 Å (Cu Kα). Structure: DFT lattice parameters and positions (GGA-PBE).
Neutral-atom scattering factors, no anomalous dispersion.

Structure:
```
Nb9Co4Ge
1.0
-6.5938 6.5938 2.5270
6.5938 -6.5938 2.5270
6.5938 6.5938 -2.5270
Nb Co Ge
18 8 2
Direct
0.0692 0.7056 0.7747
0.0869 0.1656 0.2525
0.1656 0.9131 0.0787
0.2056 0.5692 0.7747
0.2500 0.7500 0.5000
0.2944 0.0692 0.3636
0.3344 0.4131 0.7475
0.4131 0.6656 0.0787
0.4308 0.2056 0.6364
0.5692 0.7944 0.3636
0.5869 0.3344 0.9213
0.6656 0.5869 0.2525
0.7056 0.9308 0.6364
0.7500 0.2500 0.5000
0.7944 0.4308 0.2253
0.8344 0.0869 0.9213
0.9131 0.8344 0.7475
0.9308 0.2944 0.2253
0.0000 0.0000 0.5000
0.0000 0.5000 0.0000
0.1328 0.3672 0.5000
0.3672 0.8672 0.2344
0.5000 0.0000 0.0000
0.5000 0.5000 0.5000
0.6328 0.1328 0.7656
0.8672 0.6328 0.5000
0.2500 0.2500 0.0000
0.7500 0.7500 0.0000
```

Top 10 peaks for 2θ = 5–70°, in order of rising 2θ:
d 2.527, 35.5 deg, I 282
d 2.338, 38.5 deg, I 1000
d 2.331, 38.6 deg, I 319
d 2.222, 40.6 deg, I 760
d 2.204, 41.0 deg, I 793
d 2.085, 43.4 deg, I 702
d 2.006, 45.2 deg, I 525
d 1.992, 45.5 deg, I 244
d 1.420, 65.8 deg, I 199
d 1.376, 68.1 deg, I 204

---

# 2
This entry pairs a crystal structure of Nb2Co2GePb with its calculated powder diffractogram. Radiation: λ = 1.5418 Å (Cu Kα). Structure: DFT lattice parameters and positions (GGA-PBE).
Neutral-atom scattering factors, no anomalous dispersion.

Structure:
```
Nb2Co2GePb
1.0
10.2064 0.0000 0.0000
0.0000 4.1495 0.0000
-3.4470 0.0000 9.6781
Nb Co Ge Pb
8 8 4 4
Direct
0.0000 0.0000 0.0000
0.1192 0.5000 0.4008
0.2391 0.0000 0.7547
0.3690 0.5000 0.1347
0.4909 0.0000 0.5096
0.6115 0.5000 0.8770
0.7450 0.0000 0.2740
0.8752 0.5000 0.6321
0.0018 0.0000 0.7556
0.1218 0.5000 0.1193
0.2392 0.0000 0.5181
0.3590 0.5000 0.8739
0.5033 0.0000 0.2709
0.6063 0.5000 0.6238
0.7422 0.0000 0.0062
0.8714 0.5000 0.3984
0.1211 0.5000 0.8802
0.3673 0.5000 0.6352
0.6175 0.5000 0.3884
0.9936 0.0000 0.5121
0.2404 0.0000 0.2626
0.4931 0.0000 0.0114
0.7446 0.0000 0.7557
0.8716 0.5000 0.1379
```

Top 10 peaks for 2θ = 5–70°, in order of rising 2θ:
d 9.670, 9.1 deg, I 82
d 3.425, 26.0 deg, I 84
d 3.397, 26.2 deg, I 262
d 2.948, 30.3 deg, I 927
d 2.091, 43.3 deg, I 1000
d 2.080, 43.5 deg, I 671
d 2.075, 43.6 deg, I 337
d 1.697, 54.0 deg, I 126
d 1.476, 63.0 deg, I 105
d 1.473, 63.1 deg, I 212